1.
For Mg2Si, a cell relaxed with GGA-PBE gives the calculated powder diffraction line list in this record (Cu Kα, 1.54184 Å).
No peak broadening, texture or thermal motion is included.

```
data_Mg2Si
_symmetry_space_group_name_H-M 'F m -3 m'
_symmetry_Int_Tables_number 225
_symmetry_space_group_name_Hall '-F 4 2 3'
_cell_length_a 6.365
_cell_length_b 6.365
_cell_length_c 6.365
_cell_angle_alpha 90.00
_cell_angle_beta 90.00
_cell_angle_gamma 90.00
loop_
_atom_site_label
_atom_site_type_symbol
_atom_site_fract_x
_atom_site_fract_y
_atom_site_fract_z
Mg1 Mg 0.250 0.250 0.250
Si1 Si 0.000 0.000 0.000
```

Top 8 peaks for 2θ from 5° to 70°, in order of rising 2θ:
Position (°2θ)  d (Å)  I (rel.)
24.22  3.675  36
28.04  3.183  11
40.07  2.250  100
47.37  1.919  15
49.61  1.837  3
57.95  1.591  16
63.73  1.460  6
65.59  1.423  3

2.
For Tb3AlFeS7, a cell relaxed with GGA-PBE gives the calculated powder diffraction line list in this record (Cu Kα, 1.54184 Å).
No peak broadening, texture or thermal motion is included.

```
data_Tb3AlFeS7
_symmetry_space_group_name_H-M 'P 63'
_symmetry_Int_Tables_number 173
_cell_length_a 9.8819
_cell_length_b 9.8819
_cell_length_c 5.8270
_cell_angle_alpha 90.00
_cell_angle_beta 90.00
_cell_angle_gamma 120.00
loop_
_symmetry_equiv_pos_as_xyz
'x,y,z'
'x-y,x,z+1/2'
'-y,x-y,z'
'-x,-y,z+1/2'
'-x+y,-x,z'
'y,-x+y,z+1/2'
loop_
_atom_site_label
_atom_site_type_symbol
_atom_site_fract_x
_atom_site_fract_y
_atom_site_fract_z
Tb1 Tb 0.1321 0.7601 0.0000
Al1 Al 0.3333 0.6667 0.4205
Fe1 Fe 0.0000 0.0000 0.2624
S1 S 0.0865 0.8468 0.5230
S2 S 0.0970 0.5117 0.2620
S3 S 0.3333 0.6667 0.7993
```

Top 10 peaks for 2θ from 5° to 70°, in order of rising 2θ:
Position (°2θ)  d (Å)  I (rel.)
18.42  4.817  49
23.61  3.769  47
25.83  3.449  100
27.58  3.235  52
35.02  2.562  34
37.34  2.408  45
37.91  2.374  35
41.06  2.198  56
41.72  2.165  42
51.38  1.778  31

3.
For Te2P3O12, a cell relaxed with GGA-PBE gives the calculated powder diffraction line list in this record (Cu Kα, 1.54184 Å).
No peak broadening, texture or thermal motion is included.

```
data_Te2P3O12
_symmetry_space_group_name_H-M 'R -3'
_symmetry_Int_Tables_number 148
_symmetry_space_group_name_Hall '-R 3'
_cell_length_a 8.5907
_cell_length_b 8.5907
_cell_length_c 23.7013
_cell_angle_alpha 90.00
_cell_angle_beta 90.00
_cell_angle_gamma 120.00
loop_
_atom_site_label
_atom_site_type_symbol
_atom_site_fract_x
_atom_site_fract_y
_atom_site_fract_z
Te1 Te 0.0000 0.0000 0.1418
Te2 Te 0.0000 0.0000 0.3476
P1 P 0.0006 0.7069 0.2516
O1 O 0.0155 0.7991 0.1949
O2 O 0.0440 0.2113 0.0857
O3 O 0.0847 0.2295 0.7015
O4 O 0.0894 0.2262 0.3984
```

Top 10 peaks for 2θ from 5° to 70°, in order of rising 2θ:
Position (°2θ)  d (Å)  I (rel.)
14.06  6.301  48
19.15  4.635  100
20.68  4.295  66
23.58  3.774  42
28.33  3.150  55
30.75  2.908  66
35.33  2.540  31
36.22  2.480  28
48.23  1.887  19
50.35  1.812  25

4.
For Ga2Pd5, a cell relaxed with GGA-PBE gives the calculated powder diffraction line list in this record (Cu Kα, 1.54184 Å).
No peak broadening, texture or thermal motion is included.

```
data_Ga2Pd5
_symmetry_space_group_name_H-M 'P n m a'
_symmetry_Int_Tables_number 62
_cell_length_a 5.523
_cell_length_b 4.123
_cell_length_c 18.676
_cell_angle_alpha 90.00
_cell_angle_beta 90.00
_cell_angle_gamma 90.00
loop_
_symmetry_equiv_pos_as_xyz
'x,y,z'
'-x,-y,-z'
'-x+1/2,-y,z+1/2'
'x+1/2,y,-z+1/2'
'x+1/2,-y+1/2,-z+1/2'
'-x+1/2,y+1/2,z+1/2'
'-x,y+1/2,-z'
'x,-y+1/2,z'
loop_
_atom_site_label
_atom_site_type_symbol
_atom_site_fract_x
_atom_site_fract_y
_atom_site_fract_z
Ga1 Ga 0.168 0.250 0.176
Ga2 Ga 0.203 0.250 0.456
Pd1 Pd 0.034 0.250 0.588
Pd2 Pd 0.035 0.250 0.882
Pd3 Pd 0.138 0.250 0.734
Pd4 Pd 0.165 0.250 0.320
Pd5 Pd 0.170 0.250 0.031
```

Top 10 peaks for 2θ from 5° to 70°, in order of rising 2θ:
Position (°2θ)  d (Å)  I (rel.)
37.44  2.402  14
37.85  2.377  16
39.27  2.294  70
39.58  2.277  25
39.79  2.266  11
40.26  2.240  100
41.97  2.153  31
43.91  2.062  60
47.38  1.919  32
66.58  1.405  23

5.
For K3Nb6SBr17, a cell relaxed with GGA-PBE gives the calculated powder diffraction line list in this record (Cu Kα, 1.54184 Å).
No peak broadening, texture or thermal motion is included.

```
data_K3Nb6SBr17
_symmetry_space_group_name_H-M 'C 1 2/c 1'
_symmetry_Int_Tables_number 15
_cell_length_a 17.750
_cell_length_b 19.150
_cell_length_c 9.558
_cell_angle_alpha 90.00
_cell_angle_beta 91.04
_cell_angle_gamma 90.00
loop_
_symmetry_equiv_pos_as_xyz
'x,y,z'
'-x,-y,-z'
'-x,y,-z+1/2'
'x,-y,z+1/2'
'x+1/2,y+1/2,z'
'-x+1/2,-y+1/2,-z'
'-x+1/2,y+1/2,-z+1/2'
'x+1/2,-y+1/2,z+1/2'
loop_
_atom_site_label
_atom_site_type_symbol
_atom_site_fract_x
_atom_site_fract_y
_atom_site_fract_z
K1 K 0.000 0.039 0.250
K2 K 0.227 0.449 0.157
Nb1 Nb 0.016 0.320 0.519
Nb2 Nb 0.071 0.187 0.643
Nb3 Nb 0.125 0.323 0.762
S1 S 0.000 0.277 0.750
Br1 Br 0.000 0.382 0.250
Br2 Br 0.059 0.432 0.890
Br3 Br 0.064 0.123 0.896
Br4 Br 0.079 0.218 0.379
Br5 Br 0.126 0.275 0.027
Br6 Br 0.127 0.059 0.561
Br7 Br 0.144 0.389 0.522
Br8 Br 0.213 0.221 0.683
Br9 Br 0.246 0.108 0.165
```

Top 10 peaks for 2θ from 5° to 70°, in order of rising 2θ:
Position (°2θ)  d (Å)  I (rel.)
9.24  9.575  100
9.97  8.874  51
11.56  7.655  69
30.44  2.937  89
31.16  2.870  94
31.88  2.807  87
38.20  2.356  45
39.38  2.288  36
40.55  2.225  41
49.47  1.843  67